1.
Simulated PXRD pattern of Li9Mn2Co5O16 for λ = 1.5418 Å (Cu Kα), from a PBE+U-relaxed structure.

Top 10 peaks for 2θ = 15–90°, in order of falling intensity:
2θ/deg, I/Imax
18.3, 100.0
44.0, 53.3
41.8, 29.5
36.2, 24.0
34.7, 15.9
62.3, 15.0
62.3, 15.0
58.0, 9.8
47.2, 9.6
37.1, 7.6

Structural model:
```
Li9Mn2Co5O16
1.0
6.6469 -1.4439 0.0000
6.6469 1.4439 0.0000
-0.9878 0.0000 15.2470
Li Mn Co O
9 2 5 16
direct
0.0000 0.0000 0.0000 Li
0.1252 0.1252 0.3696 Li
0.2472 0.2472 0.7454 Li
0.3729 0.3729 0.1251 Li
0.5008 0.5008 0.4932 Li
0.6232 0.6232 0.8743 Li
0.7454 0.7454 0.2493 Li
0.8065 0.8065 0.4352 Li
0.8670 0.8670 0.6201 Li
0.3069 0.3069 0.9362 Mn
0.9393 0.9393 0.8068 Mn
0.0605 0.0605 0.1910 Co
0.1978 0.1978 0.5537 Co
0.4191 0.4191 0.3170 Co
0.5652 0.5652 0.6795 Co
0.6783 0.6783 0.0625 Co
0.0398 0.0398 0.5976 O
0.0907 0.0907 0.7636 O
0.1524 0.1524 0.9727 O
0.2118 0.2118 0.1474 O
0.2881 0.2881 0.3386 O
0.3283 0.3283 0.5320 O
0.4088 0.4088 0.7225 O
0.4667 0.4667 0.8918 O
0.5328 0.5328 0.0975 O
0.5927 0.5927 0.2726 O
0.6526 0.6526 0.4752 O
0.7113 0.7113 0.6446 O
0.7806 0.7806 0.8497 O
0.8367 0.8367 0.0216 O
0.9130 0.9130 0.2265 O
0.9651 0.9651 0.3942 O
```

---

2.
Simulated PXRD pattern of VPbO4 for λ = 1.5418 Å (Cu Kα), from a PBE+U-relaxed structure.

Top 10 peaks for 2θ = 15–90°, in order of falling intensity:
2θ/deg, I/Imax
27.8, 100.0
29.4, 50.8
26.4, 47.3
18.0, 43.7
20.2, 30.6
29.2, 24.6
46.0, 22.4
44.6, 22.1
32.4, 19.8
29.1, 18.8

Structural model:
```
VPbO4
1.0
6.9269 0.0000 0.0000
0.0000 7.3037 0.0000
-5.1092 0.0000 6.7538
V Pb O
4 4 16
direct
0.1843 0.1619 0.2970 V
0.1843 0.3381 0.7970 V
0.8157 0.6619 0.2030 V
0.8157 0.8381 0.7030 V
0.3140 0.6368 0.2221 Pb
0.3140 0.8632 0.7221 Pb
0.6860 0.1368 0.2779 Pb
0.6860 0.3632 0.7779 Pb
0.1135 0.7092 0.4033 O
0.1135 0.7908 0.9033 O
0.1476 0.0978 0.4747 O
0.1476 0.4022 0.9747 O
0.3400 0.5006 0.7585 O
0.3400 0.9994 0.2585 O
0.3669 0.1412 0.8919 O
0.3669 0.3588 0.3919 O
0.6331 0.6412 0.6081 O
0.6331 0.8588 0.1081 O
0.6600 0.0006 0.7415 O
0.6600 0.4994 0.2415 O
0.8524 0.5978 0.0253 O
0.8524 0.9022 0.5253 O
0.8865 0.2092 0.0967 O
0.8865 0.2908 0.5967 O
```